This entry pairs a crystal structure of La6Nd5Th with its computed powder XRD pattern. Radiation: Cu Kα X-rays. Structure: a cell relaxed with PBE.

Structure:
Cell: 5.228 9.772 9.791 Å, 64.64 74.57 74.50°
Space group P-1 (No. 2)
Unique sites:
La1 0.000 0.244 0.256 [2 per cell]
La2 0.337 0.411 0.416 [2 per cell]
La3 0.337 0.915 0.911 [2 per cell]
Nd1 0.161 0.838 0.339 [2 per cell]
Nd2 0.167 0.333 0.833 [2 per cell]
Nd3 0.500 0.500 0.000 [1 per cell]
Th1 0.500 0.000 0.500 [1 per cell]

Main lines, most intense first (5° ≤ 2θ ≤ 70°):
h k l	two_theta	d/Å	I (rel.)
1 3 1	29.6	3.019	100
2 1 1	34.3	2.614	51
3 4 2	58.5	1.577	36
2 3 -1	49.3	1.849	30
1 -4 2	58.6	1.575	7
2 2 6	61.4	1.511	6
2 6 2	61.5	1.508	6
0 5 1	49.4	1.847	6
0 0 1	10.2	8.702	2
0 1 1	11.3	7.844	1
0 1 2	19.0	4.677	1

This entry pairs a crystal structure of La8NdTh2 with its computed powder XRD pattern. Radiation: Cu Kα X-rays. Structure: a cell relaxed with PBE.

Structure:
Cell: 5.842 8.263 16.462 Å, 90.00 90.00 90.00°
Space group Immm (No. 71)
Unique sites:
La1 0.000 0.000 0.162 [4 per cell]
La2 0.000 0.203 0.362 [8 per cell]
La3 0.000 0.295 0.000 [4 per cell]
Nd1 0.000 0.500 0.500 [2 per cell]
Th1 0.000 0.500 0.197 [4 per cell]

Main lines, most intense first (5° ≤ 2θ ≤ 70°):
h k l	two_theta	d/Å	I (rel.)
1 2 3	31.1	2.873	100
2 0 0	30.6	2.920	33
3 2 3	54.7	1.677	24
1 1 4	28.6	3.116	21
1 1 10	59.4	1.557	12
0 0 6	32.6	2.744	12
0 3 7	51.1	1.788	11
2 3 7	60.7	1.525	11
2 0 6	45.3	2.000	10
0 2 2	24.1	3.692	9
1 5 4	62.6	1.483	8
0 4 0	43.8	2.065	7

This entry pairs a crystal structure of LaNd4Th2 with its computed powder XRD pattern. Radiation: Cu Kα X-rays. Structure: a cell relaxed with PBE.

Structure:
Cell: 5.717 5.671 7.957 Å, 90.00 96.49 90.00°
Space group P2/m (No. 10)
Unique sites:
La1 0.000 0.000 0.000 [1 per cell]
Nd1 0.090 0.500 0.291 [2 per cell]
Nd2 0.496 0.000 0.722 [2 per cell]
Th1 0.000 0.000 0.500 [1 per cell]
Th2 0.500 0.500 0.000 [1 per cell]

Main lines, most intense first (5° ≤ 2θ ≤ 70°):
h k l	two_theta	d/Å	I (rel.)
1 1 -2	30.4	2.936	100
0 2 0	31.5	2.837	81
1 1 2	33.1	2.710	60
2 2 0	45.2	2.007	26
1 0 1	20.3	4.385	22
1 1 1	25.7	3.469	20
1 3 -2	55.5	1.656	19
0 1 1	19.3	4.608	18
2 1 -1	36.0	2.492	16
3 1 -2	53.7	1.705	15
1 3 2	57.1	1.612	13
0 2 4	56.8	1.621	12